For Tb2Pm2Er5, DFT lattice parameters and positions (PBE) gives the computed powder diffractogram in this record (copper Kα).
No peak broadening, texture or thermal motion is included.

Top 6 peaks for 2θ from 15° to 90°, low angle first:
2θ = 31.31°, rel. 57
2θ = 32.01°, rel. 77
2θ = 32.12°, rel. 38
2θ = 33.75°, rel. 100
2θ = 51.07°, rel. 29
2θ = 61.14°, rel. 34

Structure:
```
data_Tb2Pm2Er5
_cell_length_a 3.589
_cell_length_b 8.813
_cell_length_c 9.453
_cell_angle_alpha 76.75
_cell_angle_beta 79.11
_cell_angle_gamma 89.99
_symmetry_space_group_name_H-M 'P -1'
_symmetry_Int_Tables_number 2
_symmetry_space_group_name_Hall '-P 1'
loop_
_atom_site_label
_atom_site_type_symbol
_atom_site_fract_x
_atom_site_fract_y
_atom_site_fract_z
_atom_site_occupancy
Tb1 Tb 0.166 0.000 0.167 1
Pm1 Pm 0.093 0.335 0.315 1
Er1 Er 0.241 0.667 0.019 1
Er2 Er 0.425 0.332 0.651 1
Er3 Er 0.500 0.000 0.500 1
```